[1]
Theoretical powder X-ray diffraction pattern of Er4AsO3 for Cu Kα (weighted mean of Kα1 and Kα2), from a cell relaxed with GGA-PBE.
Peak positions follow from Bragg's law for the DFT cell and can differ from measured ones.

a = 5.1396 Å, b = 5.1396 Å, c = 9.8836 Å
α = 90.00°, β = 90.00°, γ = 90.00°
Space group I4/mmm (No. 139)
One atom of each set of equivalent atoms:
Er 0.0000 0.0000 0.2317 [4 per cell]
Er 0.0000 0.5000 0.0000 [4 per cell]
As 0.0000 0.0000 0.5000 [2 per cell]
O 0.0000 0.0000 0.0000 [2 per cell]
O 0.0000 0.5000 0.2500 [4 per cell]

The 10 most intense peaks (2θ from 5° to 70°), sorted by position:
d_spacing	I_rel
2.928	100
2.774	9
2.570	80
2.471	33
1.885	6
1.817	28
1.781	48
1.544	31
1.500	12
1.464	25

---

[2]
Theoretical powder X-ray diffraction pattern of ErAsO4 for Cu Kα (weighted mean of Kα1 and Kα2), from a cell relaxed with GGA-PBE.
Peak positions follow from Bragg's law for the DFT cell and can differ from measured ones.

a = 7.0052 Å, b = 7.0052 Å, c = 6.2960 Å
α = 90.00°, β = 90.00°, γ = 90.00°
Space group I4_1/amd (No. 141, origin choice 2)
One atom of each set of equivalent atoms:
Er 0.0000 0.2500 0.3750 [4 per cell]
As 0.0000 0.2500 0.8750 [4 per cell]
O 0.0000 0.0656 0.6971 [16 per cell]

The 10 most intense peaks (2θ from 5° to 70°), sorted by position:
d_spacing	I_rel
4.683	22
3.503	100
2.657	76
2.477	24
2.189	9
1.812	61
1.751	16
1.566	15
1.462	18
1.436	13

---

[3]
Theoretical powder X-ray diffraction pattern of ErSbAsO for Cu Kα (weighted mean of Kα1 and Kα2), from a cell relaxed with GGA-PBE.
Peak positions follow from Bragg's law for the DFT cell and can differ from measured ones.

a = 4.0181 Å, b = 4.0181 Å, c = 10.4439 Å
α = 90.00°, β = 90.00°, γ = 90.00°
Space group P4/nmm (No. 129, origin choice 2)
One atom of each set of equivalent atoms:
Er 0.2500 0.2500 0.0968 [2 per cell]
Sb 0.2500 0.7500 0.5000 [2 per cell]
As 0.2500 0.2500 0.7328 [2 per cell]
O 0.2500 0.7500 0.0000 [2 per cell]

The 10 most intense peaks (2θ from 5° to 70°), sorted by position:
d_spacing	I_rel
5.222	34
3.185	82
2.742	100
2.631	91
2.496	35
2.009	55
1.699	27
1.597	40
1.484	33
1.448	26

---

[4]
Theoretical powder X-ray diffraction pattern of SmErAsO for Cu Kα (weighted mean of Kα1 and Kα2), from a cell relaxed with GGA-PBE.
Peak positions follow from Bragg's law for the DFT cell and can differ from measured ones.

a = 4.2575 Å, b = 7.5182 Å, c = 6.0440 Å
α = 90.00°, β = 90.00°, γ = 90.00°
Space group Pmc2_1 (No. 26)
One atom of each set of equivalent atoms:
Sm 0.0000 0.2049 0.0000 [2 per cell]
Er 0.5000 0.3931 0.5833 [2 per cell]
As 0.0000 0.1766 0.4905 [2 per cell]
O 0.5000 0.3359 0.9391 [2 per cell]

The 10 most intense peaks (2θ from 5° to 70°), sorted by position:
d_spacing	I_rel
3.705	100
3.192	42
3.159	75
3.022	76
2.818	44
2.342	41
2.315	31
2.160	38
2.129	40
2.061	31

---

[5]
Theoretical powder X-ray diffraction pattern of YErZn2As2O2 for Cu Kα (weighted mean of Kα1 and Kα2), from a cell relaxed with GGA-PBE.
Peak positions follow from Bragg's law for the DFT cell and can differ from measured ones.

a = 3.9380 Å, b = 3.9380 Å, c = 8.8676 Å
α = 90.00°, β = 90.00°, γ = 90.00°
Space group P4mm (No. 99)
One atom of each set of equivalent atoms:
Y 0.0000 0.0000 0.0000 [1 per cell]
Er 0.5000 0.5000 0.7565 [1 per cell]
Zn 0.0000 0.5000 0.3771 [2 per cell]
As 0.0000 0.0000 0.5607 [1 per cell]
As 0.5000 0.5000 0.1918 [1 per cell]
O 0.0000 0.5000 0.8745 [2 per cell]

The 10 most intense peaks (2θ from 5° to 70°), sorted by position:
d_spacing	I_rel
2.944	100
2.785	17
2.657	31
2.361	55
1.969	39
1.774	8
1.734	29
1.637	37
1.513	12
1.392	12

---

[6]
Theoretical powder X-ray diffraction pattern of SmErAs2Pt2 for Cu Kα (weighted mean of Kα1 and Kα2), from a cell relaxed with GGA-PBE.
Peak positions follow from Bragg's law for the DFT cell and can differ from measured ones.

a = 4.3089 Å, b = 4.3089 Å, c = 15.4185 Å
α = 90.00°, β = 90.00°, γ = 120.00°
Space group P6_3/mmc (No. 194)
One atom of each set of equivalent atoms:
Sm 0.0000 0.0000 0.2500 [2 per cell]
Er 0.0000 0.0000 0.0000 [2 per cell]
As 0.3333 0.6667 0.1150 [4 per cell]
Pt 0.3333 0.6667 0.6276 [4 per cell]

The 10 most intense peaks (2θ from 5° to 70°), sorted by position:
d_spacing	I_rel
3.855	6
3.627	14
3.020	5
2.681	100
2.377	8
2.154	58
1.927	13
1.881	5
1.679	25
1.436	30

---

[7]
Theoretical powder X-ray diffraction pattern of Rb3ErAs2 for Cu Kα (weighted mean of Kα1 and Kα2), from a cell relaxed with GGA-PBE.
Peak positions follow from Bragg's law for the DFT cell and can differ from measured ones.

a = 11.6594 Å, b = 11.2508 Å, c = 8.4974 Å
α = 90.00°, β = 97.34°, γ = 90.00°
Space group C2/c (No. 15)
One atom of each set of equivalent atoms:
Rb 0.0000 0.1836 0.2500 [4 per cell]
Rb 0.2085 0.4576 0.9866 [8 per cell]
Er 0.0000 0.2005 0.7500 [4 per cell]
As 0.1873 0.2448 0.6095 [8 per cell]

The 10 most intense peaks (2θ from 5° to 70°), sorted by position:
d_spacing	I_rel
5.625	57
5.583	95
4.032	60
3.639	96
3.567	62
3.373	81
3.240	86
3.216	100
2.315	58
1.940	52

---

[8]
Theoretical powder X-ray diffraction pattern of RbErAs2S7 for Cu Kα (weighted mean of Kα1 and Kα2), from a cell relaxed with GGA-PBE.
Peak positions follow from Bragg's law for the DFT cell and can differ from measured ones.

a = 9.2604 Å, b = 10.4540 Å, c = 6.7218 Å
α = 90.00°, β = 99.21°, γ = 90.00°
Space group C2 (No. 5)
One atom of each set of equivalent atoms:
Rb 0.0000 0.0000 0.0000 [2 per cell]
Er 0.0000 0.6016 0.5000 [2 per cell]
As 0.1977 0.2515 0.5913 [4 per cell]
S 0.0000 0.1190 0.5000 [2 per cell]
S 0.1383 0.4177 0.7530 [4 per cell]
S 0.1633 0.6272 0.2012 [4 per cell]
S 0.2020 0.7756 0.6756 [4 per cell]

The 10 most intense peaks (2θ from 5° to 70°), sorted by position:
d_spacing	I_rel
6.635	100
5.227	31
5.093	60
4.512	63
4.106	66
3.441	87
2.915	100
2.843	35
2.096	48
2.037	38

---

[9]
Theoretical powder X-ray diffraction pattern of Er3ZrAs5 for Cu Kα (weighted mean of Kα1 and Kα2), from a cell relaxed with GGA-PBE.
Peak positions follow from Bragg's law for the DFT cell and can differ from measured ones.

a = 7.8567 Å, b = 7.8567 Å, c = 3.8312 Å
α = 90.00°, β = 90.00°, γ = 120.00°
Space group P-62m (No. 189)
One atom of each set of equivalent atoms:
Er 0.0000 0.5110 0.0000 [3 per cell]
Zr 0.0000 0.0000 0.0000 [1 per cell]
As 0.0000 0.2459 0.5000 [3 per cell]
As 0.3333 0.6667 0.5000 [2 per cell]

The 10 most intense peaks (2θ from 5° to 70°), sorted by position:
d_spacing	I_rel
3.402	37
2.743	14
2.572	18
2.544	100
1.964	18
1.916	13
1.748	15
1.701	14
1.669	10
1.371	11

---

[10]
Theoretical powder X-ray diffraction pattern of HgAs2H2F14 for Cu Kα (weighted mean of Kα1 and Kα2), from a cell relaxed with GGA-PBE.
Peak positions follow from Bragg's law for the DFT cell and can differ from measured ones.

a = 4.7130 Å, b = 6.1686 Å, c = 7.1560 Å
α = 85.15°, β = 78.04°, γ = 79.64°
Space group P-1 (No. 2)
One atom of each set of equivalent atoms:
Hg 0.0000 0.0000 0.0000 [1 per cell]
As 0.3500 0.2753 0.2952 [2 per cell]
H 0.1012 0.3953 0.8152 [2 per cell]
F 0.0483 0.3954 0.1717 [2 per cell]
F 0.0960 0.2646 0.5039 [2 per cell]
F 0.2206 0.2437 0.8198 [2 per cell]
F 0.2823 0.0149 0.2375 [2 per cell]
F 0.3469 0.8557 0.6146 [2 per cell]
F 0.4025 0.5380 0.3277 [2 per cell]
F 0.4222 0.7140 0.9399 [2 per cell]

The 10 most intense peaks (2θ from 5° to 70°), sorted by position:
d_spacing	I_rel
6.992	44
6.061	37
4.472	100
3.798	61
3.510	52
3.377	49
3.095	30
3.078	43
2.393	30
1.883	27